(1)
This entry pairs a crystal structure of BaTeS4O9 with its computed powder diffractogram. Radiation: copper Kα. Structure: a DFT-relaxed cell (PBE, the Materials Project).
Peak positions follow from Bragg's law for the DFT cell and can differ from measured ones.

Structure:
```
BaTeS4O9
1.0
11.067 0.000 0.000
0.000 5.397 0.000
-4.659 0.000 21.071
Ba Te S O
4 4 16 36
Direct
0.145 0.170 0.407
0.145 0.330 0.907
0.855 0.670 0.093
0.855 0.830 0.593
0.396 0.513 0.688
0.396 0.987 0.188
0.604 0.013 0.812
0.604 0.487 0.312
0.168 0.638 0.543
0.168 0.862 0.043
0.285 0.594 0.319
0.285 0.906 0.819
0.328 0.701 0.102
0.328 0.799 0.602
0.465 0.729 0.360
0.465 0.771 0.860
0.535 0.229 0.140
0.535 0.271 0.640
0.672 0.201 0.398
0.672 0.299 0.898
0.715 0.094 0.181
0.715 0.406 0.681
0.832 0.138 0.957
0.832 0.362 0.457
0.042 0.071 0.226
0.042 0.429 0.726
0.069 0.631 0.579
0.069 0.869 0.079
0.078 0.219 0.191
0.078 0.281 0.691
0.143 0.684 0.990
0.143 0.816 0.490
0.200 0.109 0.023
0.200 0.391 0.523
0.210 0.708 0.361
0.210 0.792 0.861
0.252 0.679 0.253
0.252 0.821 0.753
0.284 0.179 0.825
0.284 0.321 0.325
0.463 0.078 0.486
0.463 0.422 0.986
0.537 0.578 0.014
0.537 0.922 0.514
0.716 0.679 0.675
0.716 0.821 0.175
0.748 0.179 0.247
0.748 0.321 0.747
0.790 0.208 0.139
0.790 0.292 0.639
0.800 0.609 0.477
0.800 0.891 0.977
0.857 0.184 0.510
0.857 0.316 0.010
0.922 0.719 0.309
0.922 0.781 0.809
0.931 0.131 0.921
0.931 0.369 0.421
0.958 0.571 0.274
0.958 0.929 0.774
```

Principal peaks in the range 15 to 90 degrees two-theta, by angle:
Position (°2θ)	intensity
16.76	1000
20.76	602
21.30	731
23.31	461
23.59	660
26.83	887
28.37	528
29.36	675



(2)
This entry pairs a crystal structure of InAs4Pd15 with its computed powder diffractogram. Radiation: copper Kα. Structure: a DFT-relaxed cell (PBE, the Materials Project).
Peak positions follow from Bragg's law for the DFT cell and can differ from measured ones.

Structure:
```
InAs4Pd15
1.0
2.228 1.287 18.297
-2.228 1.287 18.297
0.000 -2.573 18.297
In As Pd
1 4 15
Direct
0.000 0.000 0.000
0.200 0.200 0.200
0.401 0.401 0.401
0.599 0.599 0.599
0.800 0.800 0.800
0.052 0.052 0.052
0.101 0.101 0.101
0.151 0.151 0.151
0.251 0.251 0.251
0.302 0.302 0.302
0.353 0.353 0.353
0.450 0.450 0.450
0.500 0.500 0.500
0.550 0.550 0.550
0.647 0.647 0.647
0.698 0.698 0.698
0.749 0.749 0.749
0.849 0.849 0.849
0.899 0.899 0.899
0.948 0.948 0.948
```

Principal peaks in the range 15 to 90 degrees two-theta, by angle:
Position (°2θ)	intensity
40.32	987
40.48	1000
58.47	325
73.20	152
73.52	324
73.63	165
87.16	98
87.57	107



(3)
This entry pairs a crystal structure of Sc with its computed powder diffractogram. Radiation: copper Kα. Structure: a DFT-relaxed cell (PBE, the Materials Project).
Peak positions follow from Bragg's law for the DFT cell and can differ from measured ones.

Structure:
```
Sc
1.0
3.234 0.000 0.000
-1.617 2.801 0.000
0.000 0.000 16.386
Sc
6
Direct
0.000 0.470 0.333
0.000 0.530 0.833
0.470 0.000 0.000
0.470 0.470 0.167
0.530 0.000 0.500
0.530 0.530 0.667
```

Principal peaks in the range 15 to 90 degrees two-theta, by angle:
Position (°2θ)	intensity
31.96	139
32.79	417
33.82	1000
38.96	657
55.59	210
58.15	168
61.67	138
76.44	155



(4)
This entry pairs a crystal structure of Ba3SrSb2O9 with its computed powder diffractogram. Radiation: copper Kα. Structure: a DFT-relaxed cell (PBE, the Materials Project).
Peak positions follow from Bragg's law for the DFT cell and can differ from measured ones.

Structure:
```
Ba3SrSb2O9
1.0
6.173 0.000 0.000
-3.036 5.383 0.000
-0.507 -0.637 15.353
Ba Sr Sb O
6 2 4 18
Direct
0.020 0.498 0.250
0.319 0.147 0.907
0.344 0.169 0.597
0.656 0.831 0.403
0.681 0.853 0.093
0.980 0.502 0.750
0.000 0.500 0.000
0.000 0.500 0.500
0.301 0.140 0.344
0.363 0.195 0.157
0.637 0.805 0.843
0.699 0.860 0.656
0.051 0.036 0.229
0.099 0.807 0.389
0.106 0.274 0.398
0.224 0.920 0.069
0.260 0.407 0.096
0.301 0.647 0.887
0.431 0.745 0.566
0.464 0.008 0.253
0.484 0.447 0.268
0.516 0.553 0.732
0.536 0.992 0.747
0.569 0.255 0.434
0.699 0.353 0.113
0.740 0.593 0.904
0.776 0.080 0.931
0.894 0.726 0.602
0.901 0.193 0.611
0.949 0.964 0.771
```

Principal peaks in the range 15 to 90 degrees two-theta, by angle:
Position (°2θ)	intensity
27.95	377
28.55	176
28.71	647
28.92	1000
29.14	125
29.26	124
50.93	120
51.38	138



(5)
This entry pairs a crystal structure of BaMg14SnO16 with its computed powder diffractogram. Radiation: copper Kα. Structure: a DFT-relaxed cell (PBE, the Materials Project).
Peak positions follow from Bragg's law for the DFT cell and can differ from measured ones.

Structure:
```
BaMg14SnO16
1.0
4.581 0.000 0.000
0.000 8.848 0.000
0.000 0.000 9.004
Ba Mg Sn O
1 14 1 16
Direct
0.000 0.000 0.000
0.000 0.266 0.254
0.000 0.266 0.746
0.000 0.500 0.000
0.000 0.500 0.500
0.000 0.734 0.254
0.000 0.734 0.746
0.500 0.000 0.256
0.500 0.000 0.744
0.500 0.262 0.500
0.500 0.267 0.000
0.500 0.500 0.251
0.500 0.500 0.749
0.500 0.733 0.000
0.500 0.738 0.500
0.000 0.000 0.500
0.000 0.000 0.264
0.000 0.000 0.736
0.000 0.273 0.500
0.000 0.282 0.000
0.000 0.500 0.254
0.000 0.500 0.746
0.000 0.718 0.000
0.000 0.727 0.500
0.500 0.000 0.000
0.500 0.000 0.500
0.500 0.252 0.250
0.500 0.252 0.750
0.500 0.500 0.000
0.500 0.500 0.500
0.500 0.748 0.250
0.500 0.748 0.750
```

Principal peaks in the range 15 to 90 degrees two-theta, by angle:
Position (°2θ)	intensity
34.52	910
39.34	1000
40.06	939
40.79	904
57.40	587
57.96	534
58.49	565
72.79	528